Starting from a PBE-relaxed structure, the XRD peak list of AsCl5 was calculated for Cu Kα (λ = 1.5418 Å).
Kinematic intensities with the Lorentz-polarization factor, no thermal factor.

Largest 10 diffraction maxima, in order of falling intensity, 15 to 90 degrees two-theta:
2θ (°)  I/Imax
15.87  1000
17.38  884
17.07  626
26.52  448
46.49  318
22.05  299
35.35  287
22.99  248
20.60  241
26.25  225

Cell and atoms:
```
data_AsCl5
_chemical_formula_sum 'As2 Cl10'
_cell_length_a 7.737
_cell_length_b 8.063
_cell_length_c 6.789
_cell_angle_alpha 90.00
_cell_angle_beta 90.00
_cell_angle_gamma 90.00
_space_group_name_H-M_alt 'P m m n'
_space_group_IT_number 59
loop_
_space_group_symop_operation_xyz
'x,y,z'
'-x,-y,-z'
'-x+1/2,-y+1/2,z'
'x+1/2,y+1/2,-z'
'x+1/2,-y,-z'
'-x+1/2,y,z'
'-x,y+1/2,-z'
'x,-y+1/2,z'
loop_
_atom_site_label
_atom_site_type_symbol
_atom_site_fract_x
_atom_site_fract_y
_atom_site_fract_z
_atom_site_occupancy
As1 As 0.250 0.250 0.175 1
Cl1 Cl 0.008 0.250 0.339 1
Cl2 Cl 0.250 0.250 0.855 1
Cl3 Cl 0.250 0.530 0.174 1
```